Structure and simulated powder diffraction line list of CoTc4O12 (DFT lattice parameters and positions (GGA+U); Cu Kα).
No peak broadening, texture or thermal motion is included.

Main lines, in order of falling intensity (2θ = 5–70°):
h k l	2θ (°)	Rel. int.
2 0 0	23.95	100
0 2 2	33.90	92
0 0 2	23.64	51
4 2 2	60.95	40
2 2 0	34.13	34
4 0 0	49.04	31
4 0 2	55.14	24
2 2 4	60.52	19
0 2 4	54.68	19
0 0 4	48.37	15

Structure:
```
data_CoTc4O12
_chemical_formula_sum 'Co2 Tc8 O24'
_cell_length_a 7.428
_cell_length_b 7.433
_cell_length_c 7.527
_cell_angle_alpha 90.00
_cell_angle_beta 90.00
_cell_angle_gamma 90.00
_symmetry_space_group_name_H-M 'I m m m'
_symmetry_Int_Tables_number 71
_symmetry_space_group_name_Hall '-I 2 2'
loop_
_atom_site_label
_atom_site_fract_x
_atom_site_fract_y
_atom_site_fract_z
_atom_site_occupancy
Co1 0.000 0.000 0.000 1
Tc1 0.250 0.250 0.250 1
O1 0.000 0.260 0.297 1
O2 0.186 0.186 0.000 1
O3 0.248 0.000 0.299 1
```